No. 1
The following is a theoretical powder XRD pattern of Mg2CuH6Os. It was derived from a GGA-PBE-relaxed structure, using Cu Kα (weighted mean of Kα1 and Kα2).
Neutral-atom scattering factors, no anomalous dispersion.

Most intense lines, 2θ from 15° to 90°, sorted by position:
18.79°, d 4.722, I 28; 22.59°, d 3.936, I 100; 25.11°, d 3.547, I 31; 33.44°, d 2.679, I 32; 38.05°, d 2.365, I 75; 38.64°, d 2.330, I 44

Crystal structure
```
data_Mg2CuH6Os
_space_group_name_H-M_alt 'P 1'
_space_group_IT_number 1
_space_group_name_Hall 'P 1'
_cell_length_a 9.831
_cell_length_b 9.831
_cell_length_c 9.831
_cell_angle_alpha 27.85
_cell_angle_beta 27.85
_cell_angle_gamma 27.85
loop_
_atom_site_label
_atom_site_type_symbol
_atom_site_fract_x
_atom_site_fract_y
_atom_site_fract_z
_atom_site_occupancy
Mg1 Mg 0.135 0.135 0.135 1
Mg2 Mg 0.302 0.302 0.302 1
Mg3 Mg 0.698 0.698 0.698 1
Mg4 Mg 0.865 0.865 0.865 1
Cu1 Cu 0.409 0.409 0.409 1
Cu2 Cu 0.591 0.591 0.591 1
H1 H 0.127 0.630 0.630 1
H2 H 0.202 0.202 0.715 1
H3 H 0.202 0.715 0.202 1
H4 H 0.285 0.798 0.798 1
H5 H 0.370 0.370 0.873 1
H6 H 0.370 0.873 0.370 1
H7 H 0.630 0.127 0.630 1
H8 H 0.630 0.630 0.127 1
H9 H 0.715 0.202 0.202 1
H10 H 0.798 0.285 0.798 1
H11 H 0.798 0.798 0.285 1
H12 H 0.873 0.370 0.370 1
Os1 Os 0.000 0.000 0.000 1
Os2 Os 0.500 0.500 0.500 1
```

---

No. 2
The following is a theoretical powder XRD pattern of Mg2CuH6Rh2. It was derived from a GGA-PBE-relaxed structure, using Cu Kα (weighted mean of Kα1 and Kα2).
Neutral-atom scattering factors, no anomalous dispersion.

Most intense lines, 2θ from 15° to 90°, sorted by position:
17.28°, d 5.132, I 37; 22.57°, d 3.939, I 29; 36.58°, d 2.456, I 100; 38.26°, d 2.352, I 100; 53.97°, d 1.699, I 32; 68.07°, d 1.377, I 31

Crystal structure
```
data_Mg2CuH6Rh2
_space_group_name_H-M_alt 'P 1'
_space_group_IT_number 1
_space_group_name_Hall 'P 1'
_cell_length_a 5.806
_cell_length_b 5.806
_cell_length_c 5.806
_cell_angle_alpha 47.80
_cell_angle_beta 47.80
_cell_angle_gamma 47.80
loop_
_atom_site_label
_atom_site_type_symbol
_atom_site_fract_x
_atom_site_fract_y
_atom_site_fract_z
_atom_site_occupancy
Mg1 Mg 0.227 0.227 0.227 1
Mg2 Mg 0.773 0.773 0.773 1
Cu1 Cu 0.000 0.000 0.000 1
H1 H 0.188 0.761 0.761 1
H2 H 0.239 0.239 0.812 1
H3 H 0.239 0.812 0.239 1
H4 H 0.761 0.188 0.761 1
H5 H 0.761 0.761 0.188 1
H6 H 0.812 0.239 0.239 1
Rh1 Rh 0.395 0.395 0.395 1
Rh2 Rh 0.605 0.605 0.605 1
```

---

No. 3
The following is a theoretical powder XRD pattern of YMg2CuH. It was derived from a GGA-PBE-relaxed structure, using Cu Kα (weighted mean of Kα1 and Kα2).
Neutral-atom scattering factors, no anomalous dispersion.

Most intense lines, 2θ from 15° to 90°, sorted by position:
19.17°, d 4.630, I 29; 29.15°, d 3.064, I 23; 35.12°, d 2.555, I 100; 41.69°, d 2.167, I 31; 58.33°, d 1.582, I 22; 71.85°, d 1.314, I 23

Crystal structure
```
data_YMg2CuH
_space_group_name_H-M_alt 'P 1'
_space_group_IT_number 1
_space_group_name_Hall 'P 1'
_cell_length_a 4.333
_cell_length_b 4.333
_cell_length_c 4.630
_cell_angle_alpha 90.00
_cell_angle_beta 90.00
_cell_angle_gamma 90.00
loop_
_atom_site_label
_atom_site_type_symbol
_atom_site_fract_x
_atom_site_fract_y
_atom_site_fract_z
_atom_site_occupancy
Y1 Y 0.000 0.000 0.000 1
Mg1 Mg 0.000 0.500 0.500 1
Mg2 Mg 0.500 0.000 0.500 1
Cu1 Cu 0.500 0.500 0.000 1
H1 H 0.000 0.000 0.500 1
```

---

No. 4
The following is a theoretical powder XRD pattern of MnCuH. It was derived from a GGA-PBE-relaxed structure, using Cu Kα (weighted mean of Kα1 and Kα2).
Neutral-atom scattering factors, no anomalous dispersion.

Most intense lines, 2θ from 15° to 90°, sorted by position:
41.25°, d 2.189, I 100; 47.95°, d 1.897, I 33; 48.10°, d 1.892, I 16; 70.27°, d 1.340, I 18; 84.76°, d 1.144, I 21; 84.98°, d 1.141, I 10

Crystal structure
```
data_MnCuH
_space_group_name_H-M_alt 'P 1'
_space_group_IT_number 1
_space_group_name_Hall 'P 1'
_cell_length_a 4.638
_cell_length_b 4.638
_cell_length_c 4.638
_cell_angle_alpha 131.71
_cell_angle_beta 131.71
_cell_angle_gamma 70.69
loop_
_atom_site_label
_atom_site_type_symbol
_atom_site_fract_x
_atom_site_fract_y
_atom_site_fract_z
_atom_site_occupancy
Mn1 Mn 0.247 0.247 0.000 1
Mn2 Mn 0.753 0.753 0.000 1
Cu1 Cu 0.510 0.010 0.500 1
Cu2 Cu 0.990 0.490 0.500 1
H1 H 0.000 0.000 0.000 1
H2 H 0.250 0.750 0.500 1
```